This entry pairs a crystal structure of VF5 with its computed XRD peak list. Radiation: copper Kα. Structure: a cell relaxed with GGA+U.
Intensities are scaled so that the largest is 100.

Crystal structure
```
VF5
1.0
5.1936 0.0000 0.0000
0.0000 5.5366 0.0000
0.0000 0.0000 13.3557
V F
4 20
direct
0.2039 0.1202 0.4059 V
0.2961 0.8798 0.9059 V
0.7039 0.3798 0.5941 V
0.7961 0.6202 0.0941 V
0.0097 0.8263 0.0004 F
0.0698 0.5923 0.1693 F
0.0978 0.0536 0.8298 F
0.1187 0.8852 0.4889 F
0.2056 0.5964 0.8566 F
0.2944 0.4036 0.3566 F
0.3813 0.1148 0.9889 F
0.4022 0.9464 0.3298 F
0.4302 0.4077 0.6693 F
0.4903 0.1737 0.5004 F
0.5097 0.6737 0.9996 F
0.5698 0.9077 0.8307 F
0.5978 0.4464 0.1702 F
0.6187 0.6148 0.5111 F
0.7056 0.9036 0.1434 F
0.7944 0.0964 0.6434 F
0.8813 0.3852 0.0111 F
0.9022 0.5536 0.6702 F
0.9302 0.0923 0.3307 F
0.9903 0.3263 0.4996 F
```

Main lines, by angle (2θ from 10° to 90°):
(0 0 2), 2θ 13.26, d 6.678, I 38; (0 1 1), 2θ 17.34, d 5.115, I 68; (0 1 2), 2θ 20.84, d 4.262, I 60; (1 0 2), 2θ 21.68, d 4.100, I 100; (1 1 0), 2θ 23.49, d 3.788, I 20; (1 1 1), 2θ 24.43, d 3.644, I 17; (1 1 2), 2θ 27.06, d 3.295, I 24; (1 1 3), 2θ 31.00, d 2.885, I 22; (1 2 4), 2θ 46.04, d 1.972, I 15; (1 2 5), 2θ 50.64, d 1.803, I 15